(1)
Starting from a structure optimized by DFT (PBE), the powder XRD pattern of LuAgPbS3 was computed for Cu Kα X-rays.

Structure:
```
data_LuAgPbS3
_chemical_formula_sum 'Lu4 Ag4 Pb4 S12'
_cell_length_a 3.9761
_cell_length_b 13.1709
_cell_length_c 10.2664
_cell_angle_alpha 90.00
_cell_angle_beta 90.00
_cell_angle_gamma 90.00
_symmetry_space_group_name_H-M 'C m c m'
_symmetry_Int_Tables_number 63
_symmetry_space_group_name_Hall '-C 2c 2'
loop_
_atom_site_label
_atom_site_type_symbol
_atom_site_fract_x
_atom_site_fract_y
_atom_site_fract_z
Lu1 Lu 0.0000 0.0000 0.0000
Ag1 Ag 0.0000 0.4585 0.2500
Pb1 Pb 0.0000 0.2537 0.7500
S1 S 0.0000 0.0839 0.2500
S2 S 0.0000 0.3622 0.0437
```

Largest 8 diffraction maxima, low angle first, 2θ = 10–80°:
hkl 0 2 2, 21.95 deg, d = 4.049 Å, I = 72; hkl 0 4 0, 27.08 deg, d = 3.293 Å, I = 42; hkl 1 1 2, 29.21 deg, d = 3.058 Å, I = 55; hkl 1 3 1, 31.58 deg, d = 2.833 Å, I = 100; hkl 0 0 4, 34.96 deg, d = 2.567 Å, I = 55; hkl 1 3 2, 35.11 deg, d = 2.556 Å, I = 58; hkl 1 3 3, 40.39 deg, d = 2.233 Å, I = 41; hkl 0 6 2, 44.90 deg, d = 2.019 Å, I = 60



(2)
Starting from a structure optimized by DFT (PBE), the powder XRD pattern of TaTlCuPd was computed for Cu Kα X-rays.

Structure:
```
data_TaTlCuPd
_chemical_formula_sum 'Ta4 Tl4 Cu4 Pd4'
_cell_length_a 6.4626
_cell_length_b 6.4626
_cell_length_c 6.4626
_cell_angle_alpha 90.00
_cell_angle_beta 90.00
_cell_angle_gamma 90.00
_symmetry_space_group_name_H-M 'F -4 3 m'
_symmetry_Int_Tables_number 216
_symmetry_space_group_name_Hall 'F -4 2 3'
loop_
_atom_site_label
_atom_site_type_symbol
_atom_site_fract_x
_atom_site_fract_y
_atom_site_fract_z
Ta1 Ta 0.0000 0.0000 0.0000
Tl1 Tl 0.0000 0.0000 0.5000
Cu1 Cu 0.2500 0.2500 0.7500
Pd1 Pd 0.2500 0.2500 0.2500
```

Largest 8 diffraction maxima, low angle first, 2θ = 10–80°:
hkl 1 1 1, 23.85 deg, d = 3.731 Å, I = 2; hkl 2 0 0, 27.61 deg, d = 3.231 Å, I = 16; hkl 2 2 0, 39.44 deg, d = 2.285 Å, I = 100; hkl 3 1 1, 46.61 deg, d = 1.949 Å, I = 1; hkl 2 2 2, 48.82 deg, d = 1.866 Å, I = 5; hkl 4 0 0, 57.00 deg, d = 1.616 Å, I = 17; hkl 4 2 0, 64.48 deg, d = 1.445 Å, I = 7; hkl 4 2 2, 71.52 deg, d = 1.319 Å, I = 34



(3)
Starting from a structure optimized by DFT (PBE), the powder XRD pattern of Rb3Au7 was computed for Cu Kα X-rays.

Structure:
```
data_Rb3Au7
_chemical_formula_sum 'Rb6 Au14'
_cell_length_a 5.6056
_cell_length_b 13.4258
_cell_length_c 7.3441
_cell_angle_alpha 90.00
_cell_angle_beta 90.00
_cell_angle_gamma 90.00
_symmetry_space_group_name_H-M 'C m m m'
_symmetry_Int_Tables_number 65
_symmetry_space_group_name_Hall '-C 2 2'
loop_
_atom_site_label
_atom_site_type_symbol
_atom_site_fract_x
_atom_site_fract_y
_atom_site_fract_z
Rb1 Rb 0.0000 0.0000 0.0000
Rb2 Rb 0.0000 0.1603 0.5000
Au1 Au 0.0000 0.3917 0.1978
Au2 Au 0.0000 0.5000 0.5000
Au3 Au 0.2500 0.2500 0.0000
```

Largest 8 diffraction maxima, low angle first, 2θ = 10–80°:
hkl 0 0 1, 12.05 deg, d = 7.344 Å, I = 36; hkl 1 1 0, 17.14 deg, d = 5.173 Å, I = 100; hkl 0 2 1, 17.90 deg, d = 4.955 Å, I = 32; hkl 1 3 1, 28.26 deg, d = 3.158 Å, I = 52; hkl 1 1 2, 29.84 deg, d = 2.994 Å, I = 30; hkl 0 4 2, 36.26 deg, d = 2.477 Å, I = 54; hkl 2 0 3, 49.43 deg, d = 1.844 Å, I = 31; hkl 2 6 2, 58.46 deg, d = 1.579 Å, I = 31



(4)
Starting from a structure optimized by DFT (PBE), the powder XRD pattern of Er2Pt was computed for Cu Kα X-rays.

Structure:
a b c (Å): 8.2023 8.2023 8.2023
angles (deg): 90.00 90.00 90.00
Space group Fd-3m (No. 227, origin choice 2)
Inequivalent atoms, fractional coordinates:
Er 0.0000 0.0000 0.0000 x16
Pt 0.1250 0.1250 0.6250 x8

Largest 8 diffraction maxima, low angle first, 2θ = 10–80°:
hkl 2 2 0, 30.83 deg, d = 2.900 Å, I = 31; hkl 3 1 1, 36.33 deg, d = 2.473 Å, I = 100; hkl 2 2 2, 38.00 deg, d = 2.368 Å, I = 36; hkl 4 2 2, 54.83 deg, d = 1.674 Å, I = 13; hkl 5 1 1, 58.47 deg, d = 1.579 Å, I = 34; hkl 4 4 0, 64.24 deg, d = 1.450 Å, I = 29; hkl 5 3 3, 76.10 deg, d = 1.251 Å, I = 12; hkl 6 2 2, 77.14 deg, d = 1.237 Å, I = 14